# Ca3Al7Cu2
Computed powder diffractogram, Cu Ka. Input: a crystal structure in the Materials Project, relaxed with GGA-PBE.
Peak positions follow from Bragg's law for the DFT cell and can differ from measured ones.

Structural model:
Unit cell a=5.5793 b=5.5793 c=25.7984 alpha=90.00 beta=90.00 gamma=120.00
Space group R-3m (No. 166, hexagonal axes)
Asymmetric unit:
Ca  0.0000  0.0000  0.0000
Ca  0.0000  0.0000  0.1430
Al  0.0000  0.0000  0.5000
Al  0.0043  0.5022  0.9226
Cu  0.0000  0.0000  0.3350

Principal peaks in the range 2θ = 10–90°, low angle first:
10.29°, rel. 34, (0 0 3)
32.08°, rel. 49, (1 1 0)
37.39°, rel. 11, (0 2 1)
38.47°, rel. 100, (1 1 6)
39.85°, rel. 9, (0 2 4)
41.26°, rel. 15, (2 0 5)
42.03°, rel. 15, (0 0 12)
45.36°, rel. 14, (1 1 9)
61.48°, rel. 23, (3 0 6)
63.52°, rel. 13, (2 0 14)
67.10°, rel. 19, (2 2 0)
82.42°, rel. 11, (2 2 12)


# Tb2CrGe4
Computed powder diffractogram, Cu Ka. Input: a crystal structure in the Materials Project, relaxed with GGA-PBE.
Peak positions follow from Bragg's law for the DFT cell and can differ from measured ones.

Structural model:
Unit cell a=4.3080 b=4.3415 c=15.4955 alpha=90.00 beta=90.00 gamma=90.00
Space group Amm2 (No. 38)
Asymmetric unit:
Tb  0.0000  0.0000  0.0000
Tb  0.5000  0.0000  0.2022
Cr  0.5000  0.0000  0.3965
Ge  0.0000  0.0000  0.3511
Ge  0.0000  0.0000  0.6603
Ge  0.5000  0.0000  0.5504
Ge  0.5000  0.0000  0.8468

Principal peaks in the range 2θ = 10–90°, low angle first:
23.63°, rel. 14, (1 0 2)
29.78°, rel. 10, (1 1 1)
34.07°, rel. 100, (1 1 3)
34.74°, rel. 17, (0 0 6)
35.59°, rel. 19, (0 1 5)
40.73°, rel. 14, (1 0 6)
41.60°, rel. 22, (0 2 0)
41.94°, rel. 21, (2 0 0)
56.15°, rel. 10, (2 1 5)
60.56°, rel. 14, (2 2 0)
71.11°, rel. 12, (1 3 3)
71.58°, rel. 12, (3 1 3)


# MnCoS
Computed powder diffractogram, Cu Ka. Input: a crystal structure in the Materials Project, relaxed with GGA-PBE.
Peak positions follow from Bragg's law for the DFT cell and can differ from measured ones.

Structural model:
Unit cell a=5.4400 b=5.4400 c=5.4400 alpha=90.00 beta=90.00 gamma=90.00
Space group F-43m (No. 216)
Asymmetric unit:
Mn  0.0000  0.0000  0.0000
Co  0.2500  0.2500  0.7500
S  0.0000  0.0000  0.5000

Principal peaks in the range 2θ = 10–90°, low angle first:
28.42°, rel. 56, (1 1 1)
32.93°, rel. 5, (2 0 0)
47.26°, rel. 100, (2 2 0)
56.07°, rel. 23, (3 1 1)
58.80°, rel. 1, (2 2 2)
69.06°, rel. 15, (4 0 0)
76.30°, rel. 8, (3 3 1)
78.66°, rel. 1, (4 2 0)
87.94°, rel. 30, (4 2 2)


# MgCr2S4
Computed powder diffractogram, Cu Ka. Input: a crystal structure in the Materials Project, relaxed with GGA-PBE.
Peak positions follow from Bragg's law for the DFT cell and can differ from measured ones.

Structural model:
Unit cell a=3.5081 b=3.5081 c=12.0789 alpha=90.00 beta=90.00 gamma=120.00
Space group P-3m1 (No. 164)
Asymmetric unit:
Mg  0.0000  0.0000  0.0000
Cr  0.0000  0.0000  0.2597
S  0.3333  0.6667  0.1311
S  0.3333  0.6667  0.6416

Principal peaks in the range 2θ = 10–90°, low angle first:
14.67°, rel. 72, (0 0 2)
29.40°, rel. 17, (1 0 0)
33.00°, rel. 99, (1 0 2)
42.19°, rel. 100, (1 0 4)
52.14°, rel. 46, (1 1 0)
54.47°, rel. 11, (1 1 2)
54.69°, rel. 23, (0 1 6)
63.11°, rel. 12, (0 2 2)
69.23°, rel. 20, (0 2 4)
78.95°, rel. 7, (2 0 6)
84.71°, rel. 16, (1 1 8)
86.22°, rel. 10, (2 1 2)